Record 1
# NaBeSi3HO8
Theoretical powder X-ray diffraction pattern, copper Kα. Input: a cell relaxed with GGA-PBE.
Peak positions follow from Bragg's law for the DFT cell and can differ from measured ones.

```
data_NaBeSi3HO8
_chemical_formula_sum 'Na4 Be4 Si12 H4 O32'
_space_group_name_H-M_alt 'P -1'
_space_group_IT_number 2
_cell_length_a 7.394
_cell_length_b 7.403
_cell_length_c 14.149
_cell_angle_alpha 78.16
_cell_angle_beta 78.20
_cell_angle_gamma 60.57
loop_
_space_group_symop_operation_xyz
'x,y,z'
'-x,-y,-z'
loop_
_atom_site_label
_atom_site_type_symbol
_atom_site_fract_x
_atom_site_fract_y
_atom_site_fract_z
_atom_site_occupancy
Na1 Na 0.131 0.312 0.428 1
Na2 Na 0.190 0.369 0.071 1
Be1 Be 0.008 0.153 0.997 1
Be2 Be 0.346 0.492 0.503 1
Si1 Si 0.147 0.850 0.366 1
Si2 Si 0.277 0.815 0.141 1
Si3 Si 0.316 0.777 0.641 1
Si4 Si 0.351 0.647 0.866 1
Si5 Si 0.376 0.064 0.862 1
Si6 Si 0.436 0.124 0.638 1
H1 H 0.022 0.431 0.752 1
H2 H 0.052 0.620 0.755 1
O1 O 0.059 0.417 0.246 1
O2 O 0.079 0.940 0.616 1
O3 O 0.097 0.924 0.070 1
O4 O 0.155 0.655 0.444 1
O5 O 0.155 0.656 0.944 1
O6 O 0.176 0.800 0.255 1
O7 O 0.189 0.203 0.938 1
O8 O 0.296 0.677 0.755 1
O9 O 0.297 0.311 0.562 1
O10 O 0.318 0.925 0.375 1
O11 O 0.325 0.173 0.750 1
O12 O 0.396 0.959 0.126 1
O13 O 0.424 0.597 0.570 1
O14 O 0.425 0.819 0.875 1
O15 O 0.440 0.579 0.116 1
O16 O 0.460 0.896 0.626 1
```

Peak list (6 most intense, 2θ = 10–90°, by angle)
2θ/deg  I_rel  index
13.85  49  0 1 0
25.93  59  0 0 4
27.88  100  0 2 1
28.62  44  2 2 2
28.77  61  2 2 0
29.44  38  0 2 -1

Record 2
# EuIn4Au2
Theoretical powder X-ray diffraction pattern, copper Kα. Input: a cell relaxed with GGA-PBE.
Peak positions follow from Bragg's law for the DFT cell and can differ from measured ones.

```
data_EuIn4Au2
_chemical_formula_sum 'Eu4 In16 Au8'
_space_group_name_H-M_alt 'P n m a'
_space_group_IT_number 62
_cell_length_a 18.900
_cell_length_b 4.718
_cell_length_c 7.541
_cell_angle_alpha 90.00
_cell_angle_beta 90.00
_cell_angle_gamma 90.00
loop_
_space_group_symop_operation_xyz
'x,y,z'
'-x,-y,-z'
'-x+1/2,-y,z+1/2'
'x+1/2,y,-z+1/2'
'x+1/2,-y+1/2,-z+1/2'
'-x+1/2,y+1/2,z+1/2'
'-x,y+1/2,-z'
'x,-y+1/2,z'
loop_
_atom_site_label
_atom_site_type_symbol
_atom_site_fract_x
_atom_site_fract_y
_atom_site_fract_z
_atom_site_occupancy
Eu1 Eu 0.142 0.250 0.027 1
In1 In 0.035 0.750 0.853 1
In2 In 0.069 0.250 0.491 1
In3 In 0.186 0.750 0.328 1
In4 In 0.189 0.750 0.734 1
Au1 Au 0.040 0.750 0.246 1
Au2 Au 0.219 0.250 0.533 1
```

Peak list (6 most intense, 2θ = 10–90°, by angle)
2θ/deg  I_rel  index
31.83  100  2 1 2
32.60  66  5 1 1
35.31  31  7 0 1
38.15  62  0 2 0
41.83  25  2 1 3
42.00  36  6 1 2